Starting from a DFT-relaxed cell (GGA+U, the Materials Project), the X-ray diffraction stick pattern of LiNiPO4 was calculated for Cu Kα, 1.54184 Å.
Peak positions follow from Bragg's law for the DFT cell and can differ from measured ones.

Atomic structure:
```
LiNiPO4
1.0
2.8214 -4.2042 0.0000
2.8214 4.2042 0.0000
0.0000 0.0000 6.1593
Li Ni P O
2 2 2 8
Direct
0.0000 0.0000 0.0000 Li
0.0000 0.0000 0.5000 Li
0.3282 0.6718 0.7500 Ni
0.6718 0.3282 0.2500 Ni
0.3594 0.6406 0.2500 P
0.6406 0.3594 0.7500 P
0.2504 0.7496 0.0488 O
0.2504 0.7496 0.4512 O
0.2541 0.3073 0.2500 O
0.3073 0.2541 0.7500 O
0.6927 0.7459 0.2500 O
0.7459 0.6927 0.7500 O
0.7496 0.2504 0.5488 O
0.7496 0.2504 0.9512 O
```

Most intense lines, 10 to 90 degrees two-theta, in order of rising 2θ:
2theta  I (rel.)
18.9  100
21.1  21
29.0  59
31.7  52
34.9  56
35.8  58
38.4  54
46.7  41
62.8  24
67.2  19


Starting from a DFT-relaxed cell (GGA+U, the Materials Project), the X-ray diffraction stick pattern of LiNiP2O7 was calculated for Cu Kα, 1.54184 Å.
Peak positions follow from Bragg's law for the DFT cell and can differ from measured ones.

Atomic structure:
```
LiNiP2O7
1.0
4.8284 -4.1198 0.0000
4.8284 4.1198 0.0000
-4.6926 0.0000 12.6332
Li Ni P O
4 4 8 28
Direct
0.0199 0.2366 0.1537 Li
0.2366 0.0199 0.6537 Li
0.7634 0.9801 0.3463 Li
0.9801 0.7634 0.8463 Li
0.1305 0.6004 0.3585 Ni
0.3996 0.8695 0.1415 Ni
0.6004 0.1305 0.8585 Ni
0.8695 0.3996 0.6415 Ni
0.0920 0.2504 0.8639 P
0.2504 0.0920 0.3639 P
0.3282 0.4164 0.5715 P
0.4164 0.3282 0.0715 P
0.5836 0.6718 0.9285 P
0.6718 0.5836 0.4285 P
0.7496 0.9080 0.6361 P
0.9080 0.7496 0.1361 P
0.0181 0.5691 0.1930 O
0.0651 0.8940 0.1217 O
0.1004 0.2721 0.3152 O
0.1060 0.9349 0.3783 O
0.1865 0.3387 0.6282 O
0.2085 0.3832 0.9803 O
0.2246 0.6100 0.5220 O
0.2721 0.1004 0.8152 O
0.3387 0.1865 0.1282 O
0.3832 0.2085 0.4803 O
0.3900 0.7754 0.9780 O
0.4309 0.9819 0.3070 O
0.4492 0.5396 0.3509 O
0.4604 0.5508 0.1491 O
0.5396 0.4492 0.8509 O
0.5508 0.4604 0.6491 O
0.5691 0.0181 0.6930 O
0.6100 0.2246 0.0220 O
0.6168 0.7915 0.5197 O
0.6613 0.8135 0.8718 O
0.7279 0.8996 0.1848 O
0.7754 0.3900 0.4780 O
0.7915 0.6168 0.0197 O
0.8135 0.6613 0.3718 O
0.8940 0.0651 0.6217 O
0.8996 0.7279 0.6848 O
0.9349 0.1060 0.8783 O
0.9819 0.4309 0.8070 O
```

Most intense lines, 10 to 90 degrees two-theta, in order of rising 2θ:
2theta  I (rel.)
17.6  100
17.7  24
22.7  27
28.3  47
29.4  77
30.0  51
34.9  16
35.6  29
41.8  18
43.4  19